# 1
Structure and theoretical powder diffractogram of Ac4PrTe6 (a structure optimized by DFT (PBE); Cu Kα X-rays).
Peak positions follow from Bragg's law for the DFT cell and can differ from measured ones.

```
Ac4PrTe6
1.0
6.589 3.804 5.281
-6.589 3.804 5.281
0.000 -7.608 5.281
Ac Pr Te
8 2 12
Cartesian
-4.016 0.652 6.601
0.000 0.000 3.961
-2.573 -3.152 9.242
1.444 -3.804 6.601
-1.444 3.804 9.242
2.573 3.152 6.601
0.000 0.000 11.883
4.016 -0.652 9.242
0.000 0.000 0.000
0.000 0.000 7.922
-5.643 -1.431 8.737
-1.583 -5.603 7.107
-1.583 -2.006 6.096
-4.061 4.172 7.107
-0.946 2.373 6.096
-2.528 0.368 9.747
2.528 -0.368 6.096
0.946 -2.373 9.747
4.061 -4.172 8.737
1.583 2.006 9.747
1.583 5.603 8.737
5.643 1.431 7.107
```

Peak list (10 most intense, 10° ≤ 2θ ≤ 80°, low angle first)
Position (°2θ)	I/Imax
23.4	65
27.4	58
28.8	100
30.6	70
32.0	82
35.1	28
36.1	43
41.3	41
57.7	30
61.5	33

# 2
Structure and theoretical powder diffractogram of Fe3Co4 (a structure optimized by DFT (PBE); Cu Kα X-rays).
Peak positions follow from Bragg's law for the DFT cell and can differ from measured ones.

```
Fe3Co4
1.0
-1.419 1.419 9.918
1.419 -1.419 9.918
1.419 1.419 -9.918
Fe Co
3 4
Cartesian
0.000 0.000 0.000
0.000 0.000 2.859
0.000 0.000 16.978
0.000 0.000 5.703
0.000 0.000 8.502
0.000 0.000 11.335
0.000 0.000 14.134
```

Peak list (3 most intense, 10° ≤ 2θ ≤ 80°, low angle first)
Position (°2θ)	I/Imax
45.2	100
65.8	10
65.9	5

# 3
Structure and theoretical powder diffractogram of SrPm6Y12 (a structure optimized by DFT (PBE); Cu Kα X-rays).
Peak positions follow from Bragg's law for the DFT cell and can differ from measured ones.

```
SrPm6Y12
1.0
7.898 4.560 2.960
-7.898 4.560 2.960
0.000 -9.120 2.960
Sr Pm Y
1 6 12
Cartesian
0.000 0.000 0.000
-4.141 -0.471 2.925
2.478 -3.351 2.925
-1.663 -3.822 5.953
1.663 3.822 2.925
-2.478 3.351 5.953
4.141 0.471 5.953
-0.429 -5.448 2.969
-4.504 3.096 2.969
-0.852 -1.955 3.023
-4.933 -2.353 5.910
-1.267 1.715 3.023
2.119 0.240 3.023
-2.119 -0.240 5.855
1.267 -1.715 5.855
4.933 2.353 2.969
0.852 1.955 5.855
4.504 -3.096 5.910
0.429 5.448 5.910
```

Peak list (10 most intense, 10° ≤ 2θ ≤ 80°, low angle first)
Position (°2θ)	I/Imax
11.2	4
11.9	1
16.4	1
19.9	2
30.2	100
35.0	50
50.4	35
59.8	41
62.8	12
74.0	5

# 4
Structure and theoretical powder diffractogram of TbCe2ErTe5 (a structure optimized by DFT (PBE); Cu Kα X-rays).
Peak positions follow from Bragg's law for the DFT cell and can differ from measured ones.

```
TbCe2ErTe5
1.0
5.555 0.000 0.000
0.000 5.555 0.000
0.000 0.000 11.517
Tb Ce Er Te
1 2 1 5
Cartesian
0.000 0.000 0.000
2.777 2.777 2.066
2.777 2.777 9.452
0.000 0.000 5.759
0.000 0.000 2.958
0.000 0.000 8.559
0.000 2.777 0.000
2.777 0.000 0.000
2.777 2.777 5.759
```

Peak list (10 most intense, 10° ≤ 2θ ≤ 80°, low angle first)
Position (°2θ)	I/Imax
22.6	86
23.9	21
28.3	33
31.1	29
32.2	100
32.6	50
35.1	27
45.4	40
46.2	37
48.4	22

# 5
Structure and theoretical powder diffractogram of Ca2B7Ir12 (a structure optimized by DFT (PBE); Cu Kα X-rays).
Peak positions follow from Bragg's law for the DFT cell and can differ from measured ones.

```
Ca2B7Ir12
1.0
8.916 0.000 0.000
-4.458 7.721 0.000
0.000 0.000 3.958
Ca B Ir
2 7 12
Cartesian
0.000 0.000 0.000
0.000 5.148 1.979
-1.069 3.413 0.000
1.425 1.653 1.979
-0.968 6.940 0.000
2.037 5.090 0.000
4.458 2.574 0.000
6.771 0.407 1.979
5.177 5.661 1.979
-0.674 2.192 1.979
-2.236 5.268 0.000
-2.222 7.209 1.979
1.013 3.151 0.000
2.850 1.246 0.000
2.934 3.163 1.979
4.710 0.959 1.979
1.223 7.023 0.000
2.896 6.041 1.979
4.112 4.630 0.000
6.411 1.845 0.000
5.730 3.599 1.979
```

Peak list (10 most intense, 10° ≤ 2θ ≤ 80°, low angle first)
Position (°2θ)	I/Imax
11.5	20
19.9	13
30.6	27
32.4	12
38.3	100
45.9	19
48.3	19
54.5	16
73.9	13
79.8	12

# 6
Structure and theoretical powder diffractogram of RbSrGa (a structure optimized by DFT (PBE); Cu Kα X-rays).
Peak positions follow from Bragg's law for the DFT cell and can differ from measured ones.

```
RbSrGa
1.0
4.476 -3.831 0.000
4.476 3.831 0.000
-0.478 0.000 9.017
Rb Sr Ga
2 2 2
Cartesian
1.823 0.000 1.464
6.651 0.000 7.553
2.574 0.000 5.618
5.899 0.000 3.399
4.237 2.579 4.509
4.237 -2.579 4.509
```

Peak list (10 most intense, 10° ≤ 2θ ≤ 80°, low angle first)
Position (°2θ)	I/Imax
22.7	44
23.2	34
24.6	100
25.4	44
28.9	20
30.7	47
32.0	20
33.1	26
33.3	40
42.2	42